[1]
For Pr3Nd2Sn3, a structure optimized by DFT (PBE) gives the simulated X-ray diffraction stick pattern in this record (Cu Kα (weighted mean of Kα1 and Kα2)).

Principal peaks in the range 2θ = 10–90°, by angle:
25.97°, I 18, hkl 0 0 2
28.25°, I 18, hkl 1 0 2
29.15°, I 31, hkl 2 1 0
32.00°, I 100, hkl 2 1 1
32.36°, I 81, hkl 1 1 2
33.16°, I 43, hkl 3 0 0
47.01°, I 20, hkl 2 2 2
49.75°, I 29, hkl 2 1 3
52.45°, I 14, hkl 4 0 2
63.48°, I 18, hkl 5 0 2

Structure:
Unit cell a=9.3578 b=9.3578 c=6.8619 alpha=90.00 beta=90.00 gamma=120.00
Space group P6_3/mcm (No. 193)
Unique sites:
Pr: 0.0000 0.2432 0.2500
Nd: 0.3333 0.6667 0.0000
Sn: 0.0000 0.3942 0.7500

[2]
For SrPr5Nd6, a structure optimized by DFT (PBE) gives the simulated X-ray diffraction stick pattern in this record (Cu Kα (weighted mean of Kα1 and Kα2)).

Principal peaks in the range 2θ = 10–90°, by angle:
29.28°, I 99, hkl 1 3 1
29.32°, I 99, hkl 2 0 -2
33.96°, I 100, hkl 2 0 2
48.76°, I 36, hkl 1 3 -3
48.81°, I 36, hkl 5 3 1
57.92°, I 78, hkl 0 0 4
60.75°, I 18, hkl 4 0 -4
79.06°, I 20, hkl 3 3 -5
79.13°, I 8, hkl 9 3 1
81.54°, I 21, hkl 1 3 5

Structure:
Unit cell a=12.371 b=11.217 c=6.464 alpha=90.00 beta=100.05 gamma=90.00
Space group C2/m (No. 12)
Unique sites:
Sr: 0.000 0.000 0.000
Pr: 0.000 0.173 0.500
Pr: 0.000 0.339 0.000
Pr: 0.000 0.500 0.500
Nd: 0.245 0.329 0.747
Nd: 0.247 0.500 0.260

[3]
For Sr2PrNd, a structure optimized by DFT (PBE) gives the simulated X-ray diffraction stick pattern in this record (Cu Kα (weighted mean of Kα1 and Kα2)).

Principal peaks in the range 2θ = 10–90°, by angle:
28.00°, I 100, hkl 1 1 1
30.30°, I 20, hkl 0 0 2
33.47°, I 31, hkl 2 0 0
45.77°, I 26, hkl 2 0 2
48.06°, I 11, hkl 2 2 0
52.43°, I 17, hkl 1 1 3
56.54°, I 28, hkl 3 1 1
57.87°, I 13, hkl 2 2 2
73.85°, I 13, hkl 3 1 3
88.03°, I 8, hkl 4 2 2

Structure:
Unit cell a=5.355 b=5.355 c=5.900 alpha=90.00 beta=90.00 gamma=90.00
Space group P4/mmm (No. 123)
Unique sites:
Sr: 0.000 0.500 0.000
Pr: 0.000 0.000 0.500
Nd: 0.500 0.500 0.500

[4]
For SrPr4Nd3Te8, a structure optimized by DFT (PBE) gives the simulated X-ray diffraction stick pattern in this record (Cu Kα (weighted mean of Kα1 and Kα2)).

Principal peaks in the range 2θ = 10–90°, by angle:
11.94°, I 1, hkl 1 0 1
27.79°, I 100, hkl 0 2 4
39.71°, I 77, hkl 2 2 0
49.16°, I 28, hkl 4 0 4
57.41°, I 13, hkl 0 4 8
64.96°, I 36, hkl 2 4 4
72.06°, I 26, hkl 6 0 0
85.57°, I 8, hkl 4 4 0

Structure:
Unit cell a=9.0793 b=9.0793 c=22.2451 alpha=90.00 beta=90.00 gamma=120.00
Space group R-3m (No. 166, hexagonal axes)
Unique sites:
Sr: 0.0000 0.0000 0.0000
Pr: 0.0000 0.0000 0.5000
Pr: 0.0000 0.5000 0.5000
Nd: 0.0000 0.5000 0.0000
Te: 0.0000 0.0000 0.2509
Te: 0.0027 0.5014 0.2502

[5]
For TbPr6Nd2, a structure optimized by DFT (PBE) gives the simulated X-ray diffraction stick pattern in this record (Cu Kα (weighted mean of Kα1 and Kα2)).

Principal peaks in the range 2θ = 10–90°, by angle:
28.28°, I 62, hkl 3 1 0
29.54°, I 63, hkl 0 6 0
29.84°, I 100, hkl 1 3 1
32.12°, I 57, hkl 2 2 1
36.53°, I 33, hkl 2 4 1
37.44°, I 33, hkl 3 5 0
50.93°, I 18, hkl 2 8 1
52.59°, I 19, hkl 1 9 1
56.03°, I 30, hkl 5 3 1
58.59°, I 18, hkl 0 6 2

Structure:
Unit cell a=9.614 b=18.146 c=3.692 alpha=90.00 beta=90.00 gamma=90.00
Space group Cmmm (No. 65)
Unique sites:
Tb: 0.000 0.000 0.000
Pr: 0.175 0.336 0.000
Pr: 0.184 0.500 0.500
Nd: 0.000 0.176 0.500

[6]
For TbPr3Nd12, a structure optimized by DFT (PBE) gives the simulated X-ray diffraction stick pattern in this record (Cu Kα (weighted mean of Kα1 and Kα2)).

Principal peaks in the range 2θ = 10–90°, by angle:
26.51°, I 22, hkl 1 2 2
27.89°, I 23, hkl 2 1 4
28.88°, I 69, hkl 1 2 5
29.60°, I 44, hkl 3 0 0
29.74°, I 75, hkl 0 0 12
31.38°, I 46, hkl 2 1 7
32.86°, I 19, hkl 1 2 8
33.22°, I 100, hkl 3 0 6
42.45°, I 31, hkl 0 3 12
55.03°, I 22, hkl 3 0 18

Structure:
Unit cell a=10.4559 b=10.4559 c=36.0495 alpha=90.00 beta=90.00 gamma=120.00
Space group R3c (No. 161, hexagonal axes)
Unique sites:
Tb: 0.0000 0.0000 0.0000
Pr: 0.0310 0.2461 0.1652
Nd: 0.0662 0.2151 0.7520
Nd: 0.0698 0.2125 0.5794
Nd: 0.0912 0.2188 0.9190
Nd: 0.1428 0.4291 0.0016

Repeat the sixth record exactly.
For TbPr3Nd12, a structure optimized by DFT (PBE) gives the simulated X-ray diffraction stick pattern in this record (Cu Kα (weighted mean of Kα1 and Kα2)).

Principal peaks in the range 2θ = 10–90°, by angle:
26.51°, I 22, hkl 1 2 2
27.89°, I 23, hkl 2 1 4
28.88°, I 69, hkl 1 2 5
29.60°, I 44, hkl 3 0 0
29.74°, I 75, hkl 0 0 12
31.38°, I 46, hkl 2 1 7
32.86°, I 19, hkl 1 2 8
33.22°, I 100, hkl 3 0 6
42.45°, I 31, hkl 0 3 12
55.03°, I 22, hkl 3 0 18

Structure:
Unit cell a=10.4559 b=10.4559 c=36.0495 alpha=90.00 beta=90.00 gamma=120.00
Space group R3c (No. 161, hexagonal axes)
Unique sites:
Tb: 0.0000 0.0000 0.0000
Pr: 0.0310 0.2461 0.1652
Nd: 0.0662 0.2151 0.7520
Nd: 0.0698 0.2125 0.5794
Nd: 0.0912 0.2188 0.9190
Nd: 0.1428 0.4291 0.0016